(1)
This entry pairs a crystal structure of Ag2SbP2 with its simulated X-ray powder pattern. Radiation: copper Kα. Structure: a crystal structure in Alexandria, relaxed with GGA-PBE.
Peak positions follow from Bragg's law for the DFT cell and can differ from measured ones.

Structural model:
```
data_Ag2SbP2
_chemical_formula_sum 'Ag4 Sb2 P4'
_symmetry_space_group_name_H-M 'I 4/m m m'
_symmetry_Int_Tables_number 139
_symmetry_space_group_name_Hall '-I 4 2'
_cell_length_a 4.505
_cell_length_b 4.505
_cell_length_c 9.841
_cell_angle_alpha 90.00
_cell_angle_beta 90.00
_cell_angle_gamma 90.00
loop_
_atom_site_label
_atom_site_type_symbol
_atom_site_fract_x
_atom_site_fract_y
_atom_site_fract_z
Ag1 Ag 0.000 0.500 0.250
Sb1 Sb 0.000 0.000 0.000
P1 P 0.000 0.000 0.391
```

Peak list (6 most intense, 2θ = 10–90°, in order of falling intensity)
2θ 33.5, d 2.674, intensity 100
2θ 40.0, d 2.252, intensity 39
2θ 68.6, d 1.368, intensity 23
2θ 33.8, d 2.652, intensity 17
2θ 55.3, d 1.661, intensity 15
2θ 36.5, d 2.460, intensity 13


(2)
This entry pairs a crystal structure of Sc2AgP with its simulated X-ray powder pattern. Radiation: copper Kα. Structure: a crystal structure in Alexandria, relaxed with GGA-PBE.
Peak positions follow from Bragg's law for the DFT cell and can differ from measured ones.

Structural model:
```
data_Sc2AgP
_chemical_formula_sum 'Sc4 Ag2 P2'
_symmetry_space_group_name_H-M 'A m m 2'
_symmetry_Int_Tables_number 38
_symmetry_space_group_name_Hall 'A 2 -2'
_cell_length_a 3.884
_cell_length_b 3.792
_cell_length_c 10.431
_cell_angle_alpha 90.00
_cell_angle_beta 90.00
_cell_angle_gamma 90.00
loop_
_atom_site_label
_atom_site_type_symbol
_atom_site_fract_x
_atom_site_fract_y
_atom_site_fract_z
Sc1 Sc 0.000 0.000 0.000
Sc2 Sc 0.500 0.000 0.292
Ag1 Ag 0.000 0.000 0.721
P1 P 0.500 0.000 0.548
```

Peak list (6 most intense, 2θ = 10–90°, in order of falling intensity)
2θ 34.1, d 2.626, intensity 100
2θ 42.2, d 2.139, intensity 66
2θ 17.0, d 5.215, intensity 35
2θ 41.7, d 2.165, intensity 32
2θ 35.0, d 2.563, intensity 28
2θ 25.0, d 3.564, intensity 27


(3)
This entry pairs a crystal structure of Ag7PSe6 with its simulated X-ray powder pattern. Radiation: copper Kα. Structure: a crystal structure in Alexandria, relaxed with GGA-PBE.
Peak positions follow from Bragg's law for the DFT cell and can differ from measured ones.

Structural model:
```
data_Ag7PSe6
_chemical_formula_sum 'Ag28 P4 Se24'
_symmetry_space_group_name_H-M 'P 21 3'
_symmetry_Int_Tables_number 198
_symmetry_space_group_name_Hall 'P 2ac 2ab 3'
_cell_length_a 10.927
_cell_length_b 10.927
_cell_length_c 10.927
_cell_angle_alpha 90.00
_cell_angle_beta 90.00
_cell_angle_gamma 90.00
loop_
_atom_site_label
_atom_site_type_symbol
_atom_site_fract_x
_atom_site_fract_y
_atom_site_fract_z
Ag1 Ag 0.010 0.018 0.279
Ag2 Ag 0.070 0.893 0.728
Ag3 Ag 0.156 0.656 0.844
P1 P 0.246 0.754 0.254
Se1 Se 0.021 0.521 0.979
Se2 Se 0.120 0.860 0.132
Se3 Se 0.134 0.366 0.634
Se4 Se 0.211 0.211 0.211
```

Peak list (6 most intense, 2θ = 10–90°, in order of falling intensity)
2θ 28.3, d 3.154, intensity 100
2θ 30.6, d 2.920, intensity 42
2θ 47.0, d 1.932, intensity 41
2θ 43.0, d 2.103, intensity 39
2θ 34.8, d 2.575, intensity 38
2θ 42.2, d 2.143, intensity 30


(4)
This entry pairs a crystal structure of AgPSe2 with its simulated X-ray powder pattern. Radiation: copper Kα. Structure: a crystal structure in Alexandria, relaxed with GGA-PBE.
Peak positions follow from Bragg's law for the DFT cell and can differ from measured ones.

Structural model:
```
data_AgPSe2
_chemical_formula_sum 'Ag4 P4 Se8'
_symmetry_space_group_name_H-M 'P 21 21 21'
_symmetry_Int_Tables_number 19
_symmetry_space_group_name_Hall 'P 2ac 2ab'
_cell_length_a 4.920
_cell_length_b 7.253
_cell_length_c 13.003
_cell_angle_alpha 90.00
_cell_angle_beta 90.00
_cell_angle_gamma 90.00
loop_
_atom_site_label
_atom_site_type_symbol
_atom_site_fract_x
_atom_site_fract_y
_atom_site_fract_z
Ag1 Ag 0.130 0.019 0.315
P1 P 0.021 0.820 0.596
Se1 Se 0.118 0.061 0.996
Se2 Se 0.199 0.670 0.734
```

Peak list (6 most intense, 2θ = 10–90°, in order of falling intensity)
2θ 30.1, d 2.967, intensity 100
2θ 22.9, d 3.885, intensity 43
2θ 41.6, d 2.171, intensity 43
2θ 18.3, d 4.841, intensity 38
2θ 21.8, d 4.071, intensity 37
2θ 14.0, d 6.334, intensity 37


(5)
This entry pairs a crystal structure of Ag2PSe4 with its simulated X-ray powder pattern. Radiation: copper Kα. Structure: a crystal structure in Alexandria, relaxed with GGA-PBE.
Peak positions follow from Bragg's law for the DFT cell and can differ from measured ones.

Structural model:
```
data_Ag2PSe4
_chemical_formula_sum 'Ag4 P2 Se8'
_symmetry_space_group_name_H-M 'P 1 21/m 1'
_symmetry_Int_Tables_number 11
_symmetry_space_group_name_Hall '-P 2yb'
_cell_length_a 7.302
_cell_length_b 7.456
_cell_length_c 7.304
_cell_angle_alpha 90.00
_cell_angle_beta 119.95
_cell_angle_gamma 90.00
loop_
_atom_site_label
_atom_site_type_symbol
_atom_site_fract_x
_atom_site_fract_y
_atom_site_fract_z
Ag1 Ag 0.161 0.250 0.035
Ag2 Ag 0.163 0.250 0.627
P1 P 0.253 0.750 0.876
Se1 Se 0.007 0.032 0.254
Se2 Se 0.423 0.750 0.221
Se3 Se 0.425 0.750 0.703
```

Peak list (6 most intense, 2θ = 10–90°, in order of falling intensity)
2θ 34.4, d 2.609, intensity 100
2θ 30.7, d 2.912, intensity 81
2θ 39.6, d 2.277, intensity 76
2θ 14.0, d 6.327, intensity 42
2θ 23.9, d 3.728, intensity 40
2θ 28.2, d 3.163, intensity 34


(6)
This entry pairs a crystal structure of Ag2PSe5 with its simulated X-ray powder pattern. Radiation: copper Kα. Structure: a crystal structure in Alexandria, relaxed with GGA-PBE.
Peak positions follow from Bragg's law for the DFT cell and can differ from measured ones.

Structural model:
```
data_Ag2PSe5
_chemical_formula_sum 'Ag2 P1 Se5'
_symmetry_space_group_name_H-M 'P 1'
_symmetry_Int_Tables_number 1
_symmetry_space_group_name_Hall 'P 1'
_cell_length_a 5.354
_cell_length_b 5.458
_cell_length_c 7.178
_cell_angle_alpha 87.96
_cell_angle_beta 88.49
_cell_angle_gamma 84.70
loop_
_atom_site_label
_atom_site_type_symbol
_atom_site_fract_x
_atom_site_fract_y
_atom_site_fract_z
Ag1 Ag 0.000 0.000 0.000
Ag2 Ag 0.044 0.236 0.385
P1 P 0.536 0.541 0.117
Se1 Se 0.043 0.877 0.627
Se2 Se 0.472 0.725 0.656
Se3 Se 0.497 0.956 0.103
Se4 Se 0.513 0.396 0.439
Se5 Se 0.962 0.486 0.066
```

Peak list (6 most intense, 2θ = 10–90°, in order of falling intensity)
2θ 33.6, d 2.665, intensity 100
2θ 20.8, d 4.262, intensity 70
2θ 35.0, d 2.567, intensity 51
2θ 29.4, d 3.040, intensity 51
2θ 24.8, d 3.586, intensity 45
2θ 41.8, d 2.162, intensity 39


(7)
This entry pairs a crystal structure of Ag5PSe3 with its simulated X-ray powder pattern. Radiation: copper Kα. Structure: a crystal structure in Alexandria, relaxed with GGA-PBE.
Peak positions follow from Bragg's law for the DFT cell and can differ from measured ones.

Structural model:
```
data_Ag5PSe3
_chemical_formula_sum 'Ag10 P2 Se6'
_symmetry_space_group_name_H-M 'P 4/n b m'
_symmetry_Int_Tables_number 125
_cell_length_a 5.613
_cell_length_b 5.613
_cell_length_c 11.429
_cell_angle_alpha 90.00
_cell_angle_beta 90.00
_cell_angle_gamma 90.00
loop_
_symmetry_equiv_pos_as_xyz
'x,y,z'
'-x,-y,-z'
'-y+1/2,x,z'
'y+1/2,-x,-z'
'-x+1/2,-y+1/2,z'
'x+1/2,y+1/2,-z'
'y,-x+1/2,z'
'-y,x+1/2,-z'
'x,-y+1/2,-z'
'-x,y+1/2,z'
'-y+1/2,-x+1/2,-z'
'y+1/2,x+1/2,z'
'-x+1/2,y,-z'
'x+1/2,-y,z'
'y,x,-z'
'-y,-x,z'
loop_
_atom_site_label
_atom_site_type_symbol
_atom_site_fract_x
_atom_site_fract_y
_atom_site_fract_z
Ag1 Ag 0.064 0.564 0.210
Ag2 Ag 0.250 0.250 0.000
P1 P 0.250 0.750 0.500
Se1 Se 0.250 0.250 0.372
Se2 Se 0.250 0.750 0.000
```

Peak list (6 most intense, 2θ = 10–90°, in order of falling intensity)
2θ 35.6, d 2.519, intensity 100
2θ 39.9, d 2.259, intensity 74
2θ 36.7, d 2.452, intensity 65
2θ 45.7, d 1.984, intensity 38
2θ 39.4, d 2.286, intensity 38
2θ 32.6, d 2.748, intensity 28


(8)
This entry pairs a crystal structure of AgPSe2 with its simulated X-ray powder pattern. Radiation: copper Kα. Structure: a crystal structure in Alexandria, relaxed with GGA-PBE.
Peak positions follow from Bragg's law for the DFT cell and can differ from measured ones.

Structural model:
```
data_AgPSe2
_chemical_formula_sum 'Ag2 P2 Se4'
_symmetry_space_group_name_H-M 'P 1'
_symmetry_Int_Tables_number 1
_symmetry_space_group_name_Hall 'P 1'
_cell_length_a 4.336
_cell_length_b 6.594
_cell_length_c 8.075
_cell_angle_alpha 106.74
_cell_angle_beta 105.18
_cell_angle_gamma 97.15
loop_
_atom_site_label
_atom_site_type_symbol
_atom_site_fract_x
_atom_site_fract_y
_atom_site_fract_z
Ag1 Ag 0.000 0.000 0.000
Ag2 Ag 0.314 0.902 0.485
P1 P 0.760 0.361 0.368
P2 P 0.981 0.407 0.673
Se1 Se 0.201 0.486 0.298
Se2 Se 0.595 0.005 0.212
Se3 Se 0.636 0.571 0.796
Se4 Se 0.949 0.066 0.685
```

Peak list (6 most intense, 2θ = 10–90°, in order of falling intensity)
2θ 23.7, d 3.755, intensity 100
2θ 29.0, d 3.083, intensity 85
2θ 27.3, d 3.266, intensity 84
2θ 14.4, d 6.165, intensity 61
2θ 36.3, d 2.475, intensity 49
2θ 35.7, d 2.518, intensity 46


(9)
This entry pairs a crystal structure of AgP2Se4 with its simulated X-ray powder pattern. Radiation: copper Kα. Structure: a crystal structure in Alexandria, relaxed with GGA-PBE.
Peak positions follow from Bragg's law for the DFT cell and can differ from measured ones.

Structural model:
```
data_AgP2Se4
_chemical_formula_sum 'Ag2 P4 Se8'
_symmetry_space_group_name_H-M 'I 4/m'
_symmetry_Int_Tables_number 87
_symmetry_space_group_name_Hall '-I 4'
_cell_length_a 7.571
_cell_length_b 7.571
_cell_length_c 6.241
_cell_angle_alpha 90.00
_cell_angle_beta 90.00
_cell_angle_gamma 90.00
loop_
_atom_site_label
_atom_site_type_symbol
_atom_site_fract_x
_atom_site_fract_y
_atom_site_fract_z
Ag1 Ag 0.000 0.000 0.000
P1 P 0.000 0.500 0.250
Se1 Se 0.172 0.323 0.000
```

Peak list (6 most intense, 2θ = 10–90°, in order of falling intensity)
2θ 30.0, d 2.976, intensity 100
2θ 47.9, d 1.900, intensity 41
2θ 18.4, d 4.816, intensity 36
2θ 28.6, d 3.120, intensity 30
2θ 51.9, d 1.762, intensity 28
2θ 33.5, d 2.677, intensity 23


(10)
This entry pairs a crystal structure of SiAg2P2 with its simulated X-ray powder pattern. Radiation: copper Kα. Structure: a crystal structure in Alexandria, relaxed with GGA-PBE.
Peak positions follow from Bragg's law for the DFT cell and can differ from measured ones.

Structural model:
```
data_SiAg2P2
_chemical_formula_sum 'Si4 Ag8 P8'
_symmetry_space_group_name_H-M 'I -4 2 d'
_symmetry_Int_Tables_number 122
_symmetry_space_group_name_Hall 'I -4 2bw'
_cell_length_a 6.599
_cell_length_b 6.599
_cell_length_c 8.554
_cell_angle_alpha 90.00
_cell_angle_beta 90.00
_cell_angle_gamma 90.00
loop_
_atom_site_label
_atom_site_type_symbol
_atom_site_fract_x
_atom_site_fract_y
_atom_site_fract_z
Si1 Si 0.000 0.000 0.000
Ag1 Ag 0.052 0.750 0.625
P1 P 0.170 0.250 0.125
```

Peak list (6 most intense, 2θ = 10–90°, in order of falling intensity)
2θ 34.3, d 2.613, intensity 100
2θ 32.1, d 2.790, intensity 87
2θ 17.0, d 5.225, intensity 45
2θ 44.2, d 2.051, intensity 23
2θ 51.0, d 1.790, intensity 22
2θ 42.3, d 2.139, intensity 15